Theoretical powder diffractogram of CsLaHgSe3 for a wavelength of 1.5418 Å, from a cell relaxed with GGA-PBE.

Peak list (10 most intense, 15 to 90 degrees two-theta, low angle first)
Position (°2θ)  I_rel
25.71  29.2
26.88  100.0
30.08  52.8
30.91  41.9
34.83  24.6
37.44  34.6
40.18  29.4
44.47  20.4
47.24  38.6
50.03  26.4

Cell and atoms:
a = 8.463 Å, b = 8.463 Å, c = 11.571 Å
α = 90.00°, β = 90.00°, γ = 149.24°
Atoms (fractional coordinates):
Cs (0.245, 0.755, 0.750)
Cs (0.755, 0.245, 0.250)
La (0.500, 0.500, 0.000)
La (0.500, 0.500, 0.500)
Hg (0.041, 0.959, 0.250)
Hg (0.959, 0.041, 0.750)
Se (0.121, 0.879, 0.052)
Se (0.121, 0.879, 0.448)
Se (0.437, 0.563, 0.250)
Se (0.563, 0.437, 0.750)
Se (0.879, 0.121, 0.552)
Se (0.879, 0.121, 0.948)